Starting from a GGA+U-relaxed structure, the powder XRD pattern of Cr9O13 was computed for Cu Kα (weighted mean of Kα1 and Kα2).
Lines closer than 0.1° are merged.

Cell and atoms:
a b c (Å): 10.032 3.019 16.932
angles (deg): 90.00 99.18 90.00
Space group C2/m (No. 12)
Unique sites:
Cr1 0.000 0.000 0.000 (multiplicity 2)
Cr2 0.008 0.500 0.173 (multiplicity 4)
Cr3 0.058 0.500 0.367 (multiplicity 4)
Cr4 0.146 0.000 0.542 (multiplicity 4)
Cr5 0.248 0.000 0.917 (multiplicity 4)
O1 0.000 0.500 0.500 (multiplicity 2)
O2 0.064 0.000 0.638 (multiplicity 4)
O3 0.112 0.000 0.823 (multiplicity 4)
O4 0.114 0.500 0.270 (multiplicity 4)
O5 0.127 0.000 0.108 (multiplicity 4)
O6 0.140 0.500 0.963 (multiplicity 4)
O7 0.217 0.000 0.432 (multiplicity 4)

Main lines, by angle (10 to 90 degrees two-theta):
- (0 0 2), 10.59°, intensity 100
- (2 0 0), 17.91°, intensity 20
- (2 0 -2), 19.32°, intensity 20
- (2 0 -6), 34.32°, intensity 44
- (2 0 5), 34.69°, intensity 34
- (3 1 -2), 40.78°, intensity 22
- (3 1 1), 41.46°, intensity 20
- (3 1 -3), 42.02°, intensity 28
- (3 1 -4), 43.95°, intensity 22
- (0 2 0), 61.42°, intensity 19